[1]
Starting from a structure optimized by DFT (GGA-PBE), the powder diffraction line list of Y12Re5C6 was computed for CuKα.
Neutral-atom scattering factors, no anomalous dispersion.

Top 6 peaks for 2θ from 15° to 90°, by intensity:
- 31.47 deg, I = 100.0
- 35.49 deg, I = 46.1
- 20.17 deg, I = 46.0
- 35.72 deg, I = 39.7
- 16.84 deg, I = 37.6
- 51.24 deg, I = 31.9

Structure:
Unit cell a=10.530 b=10.530 c=5.027 alpha=90.00 beta=90.00 gamma=120.00
Positions (direct):
Y1 0.000 0.437 0.000
Y2 0.000 0.802 0.000
Y3 0.198 0.198 0.000
Y4 0.199 0.755 0.500
Y5 0.245 0.443 0.500
Y6 0.437 0.000 0.000
Y7 0.443 0.245 0.500
Y8 0.557 0.801 0.500
Y9 0.563 0.563 0.000
Y10 0.755 0.199 0.500
Y11 0.801 0.557 0.500
Y12 0.802 0.000 0.000
Re1 0.000 0.135 0.500
Re2 0.135 0.000 0.500
Re3 0.333 0.667 0.000
Re4 0.667 0.333 0.000
Re5 0.865 0.865 0.500
C1 0.189 0.729 0.000
C2 0.271 0.460 0.000
C3 0.460 0.271 0.000
C4 0.540 0.811 0.000
C5 0.729 0.189 0.000
C6 0.811 0.540 0.000

---

[2]
Starting from a structure optimized by DFT (GGA-PBE), the powder diffraction line list of Zn2Re2C was computed for CuKα.
Neutral-atom scattering factors, no anomalous dispersion.

Top 6 peaks for 2θ from 15° to 90°, by intensity:
- 38.09 deg, I = 100.0
- 44.58 deg, I = 34.6
- 77.79 deg, I = 24.9
- 21.43 deg, I = 23.8
- 64.16 deg, I = 23.1
- 43.65 deg, I = 18.4

Structure:
Unit cell a=4.065 b=4.065 c=4.147 alpha=90.00 beta=90.00 gamma=90.00
Positions (direct):
Zn1 0.000 0.000 0.000
Zn2 0.500 0.500 0.000
Re1 0.000 0.500 0.500
Re2 0.500 0.000 0.500
C1 0.000 0.000 0.500

---

[3]
Starting from a structure optimized by DFT (GGA-PBE), the powder diffraction line list of Zn2ReC was computed for CuKα.
Neutral-atom scattering factors, no anomalous dispersion.

Top 6 peaks for 2θ from 15° to 90°, by intensity:
- 35.46 deg, I = 100.0
- 24.86 deg, I = 29.5
- 47.44 deg, I = 24.7
- 43.80 deg, I = 22.6
- 60.62 deg, I = 18.3
- 57.60 deg, I = 16.9

Structure:
Unit cell a=5.467 b=5.467 c=5.467 alpha=98.25 beta=98.25 gamma=135.49
Positions (direct):
Zn1 0.037 0.125 0.412
Zn2 0.375 0.963 0.088
Zn3 0.713 0.625 0.588
Zn4 0.875 0.287 0.912
Re1 0.250 0.750 0.500
Re2 0.500 0.500 0.000
C1 0.000 0.000 0.000
C2 0.750 0.250 0.500

---

[4]
Starting from a structure optimized by DFT (GGA-PBE), the powder diffraction line list of RhC was computed for CuKα.
Neutral-atom scattering factors, no anomalous dispersion.

Top 6 peaks for 2θ from 15° to 90°, by intensity:
- 42.75 deg, I = 100.0
- 46.17 deg, I = 91.6
- 50.95 deg, I = 43.8
- 16.61 deg, I = 41.2
- 33.58 deg, I = 34.6
- 25.03 deg, I = 34.2

Structure:
Unit cell a=2.558 b=2.558 c=21.349 alpha=90.00 beta=90.00 gamma=120.00
Positions (direct):
Rh1 0.333 0.667 0.053
Rh2 0.333 0.667 0.447
Rh3 0.667 0.333 0.553
Rh4 0.667 0.333 0.947
C1 0.000 0.000 0.250
C2 0.000 0.000 0.750
C3 0.333 0.667 0.750
C4 0.667 0.333 0.250

---

[5]
Starting from a structure optimized by DFT (GGA-PBE), the powder diffraction line list of Rh2C was computed for CuKα.
Neutral-atom scattering factors, no anomalous dispersion.

Top 6 peaks for 2θ from 15° to 90°, by intensity:
- 39.13 deg, I = 100.0
- 37.16 deg, I = 41.3
- 41.74 deg, I = 30.6
- 65.15 deg, I = 18.3
- 68.32 deg, I = 14.9
- 53.57 deg, I = 12.0

Structure:
Unit cell a=4.838 b=4.838 c=3.111 alpha=90.00 beta=90.00 gamma=90.00
Positions (direct):
Rh1 0.201 0.201 0.000
Rh2 0.299 0.701 0.500
Rh3 0.701 0.299 0.500
Rh4 0.799 0.799 0.000
C1 0.000 0.000 0.500
C2 0.500 0.500 0.000

---

[6]
Starting from a structure optimized by DFT (GGA-PBE), the powder diffraction line list of RhC2 was computed for CuKα.
Neutral-atom scattering factors, no anomalous dispersion.

Top 6 peaks for 2θ from 15° to 90°, by intensity:
- 40.37 deg, I = 100.0
- 37.69 deg, I = 73.6
- 30.08 deg, I = 73.0
- 44.97 deg, I = 69.3
- 38.21 deg, I = 59.3
- 48.90 deg, I = 43.8

Structure:
Unit cell a=6.876 b=6.876 c=3.330 alpha=90.74 beta=90.74 gamma=21.57
Positions (direct):
Rh1 0.182 0.182 0.213
Rh2 0.818 0.818 0.787
C1 0.092 0.092 0.723
C2 0.451 0.451 0.399
C3 0.549 0.549 0.601
C4 0.908 0.908 0.277

---

[7]
Starting from a structure optimized by DFT (GGA-PBE), the powder diffraction line list of RhC2 was computed for CuKα.
Neutral-atom scattering factors, no anomalous dispersion.

Top 6 peaks for 2θ from 15° to 90°, by intensity:
- 20.37 deg, I = 100.0
- 42.93 deg, I = 64.7
- 46.74 deg, I = 35.2
- 52.62 deg, I = 34.7
- 41.59 deg, I = 24.5
- 60.16 deg, I = 16.7

Structure:
Unit cell a=2.507 b=2.507 c=8.717 alpha=90.00 beta=90.00 gamma=120.00
Positions (direct):
Rh1 0.000 0.000 0.000
C1 0.333 0.667 0.500
C2 0.667 0.333 0.500

---

[8]
Starting from a structure optimized by DFT (GGA-PBE), the powder diffraction line list of Sc3RhC4 was computed for CuKα.
Neutral-atom scattering factors, no anomalous dispersion.

Top 6 peaks for 2θ from 15° to 90°, by intensity:
- 36.22 deg, I = 100.0
- 44.54 deg, I = 32.4
- 21.05 deg, I = 26.3
- 70.36 deg, I = 25.5
- 40.15 deg, I = 20.2
- 41.82 deg, I = 19.8

Structure:
Unit cell a=6.771 b=6.771 c=5.632 alpha=96.50 beta=96.50 gamma=130.85
Positions (direct):
Sc1 0.188 0.812 0.000
Sc2 0.240 0.240 0.760
Sc3 0.310 0.690 0.500
Sc4 0.690 0.310 0.500
Sc5 0.760 0.760 0.240
Sc6 0.812 0.188 0.000
Rh1 0.270 0.270 0.271
Rh2 0.730 0.730 0.729
C1 0.051 0.793 0.582
C2 0.207 0.949 0.418
C3 0.289 0.548 0.078
C4 0.452 0.711 0.922
C5 0.548 0.289 0.078
C6 0.711 0.452 0.922
C7 0.793 0.051 0.582
C8 0.949 0.207 0.418

---

[9]
Starting from a structure optimized by DFT (GGA-PBE), the powder diffraction line list of SrRhC2 was computed for CuKα.
Neutral-atom scattering factors, no anomalous dispersion.

Top 6 peaks for 2θ from 15° to 90°, by intensity:
- 32.51 deg, I = 100.0
- 32.98 deg, I = 83.7
- 31.22 deg, I = 74.8
- 28.19 deg, I = 73.1
- 37.41 deg, I = 73.0
- 44.29 deg, I = 69.7

Structure:
Unit cell a=4.130 b=4.130 c=14.783 alpha=90.00 beta=90.00 gamma=90.00
Positions (direct):
Sr1 0.143 0.145 0.000
Sr2 0.145 0.857 0.750
Sr3 0.855 0.143 0.250
Sr4 0.857 0.855 0.500
Rh1 0.351 0.362 0.595
Rh2 0.362 0.649 0.345
Rh3 0.638 0.351 0.845
Rh4 0.649 0.638 0.095
C1 0.129 0.643 0.136
C2 0.325 0.658 0.209
C3 0.342 0.325 0.459
C4 0.357 0.129 0.386
C5 0.643 0.871 0.886
C6 0.658 0.675 0.959
C7 0.675 0.342 0.709
C8 0.871 0.357 0.636

---

[10]
Starting from a structure optimized by DFT (GGA-PBE), the powder diffraction line list of Ru3C was computed for CuKα.
Neutral-atom scattering factors, no anomalous dispersion.

Top 6 peaks for 2θ from 15° to 90°, by intensity:
- 45.29 deg, I = 100.0
- 39.55 deg, I = 59.9
- 41.26 deg, I = 39.4
- 34.79 deg, I = 31.0
- 82.64 deg, I = 18.0
- 78.05 deg, I = 17.5

Structure:
Unit cell a=4.761 b=4.761 c=4.761 alpha=146.76 beta=125.28 gamma=65.55
Positions (direct):
Ru1 0.000 0.000 0.000
Ru2 0.301 0.801 0.500
Ru3 0.699 0.199 0.500
C1 0.500 0.500 0.000

---

[11]
Starting from a structure optimized by DFT (GGA-PBE), the powder diffraction line list of RuC3 was computed for CuKα.
Neutral-atom scattering factors, no anomalous dispersion.

Top 6 peaks for 2θ from 15° to 90°, by intensity:
- 24.44 deg, I = 100.0
- 47.05 deg, I = 71.8
- 39.56 deg, I = 71.4
- 38.61 deg, I = 65.7
- 46.08 deg, I = 60.9
- 28.50 deg, I = 60.0

Structure:
Unit cell a=6.352 b=6.352 c=2.534 alpha=90.00 beta=90.00 gamma=110.01
Positions (direct):
Ru1 0.110 0.890 0.750
Ru2 0.890 0.110 0.250
C1 0.014 0.555 0.750
C2 0.445 0.986 0.750
C3 0.498 0.502 0.250
C4 0.502 0.498 0.750
C5 0.555 0.014 0.250
C6 0.986 0.445 0.250

---

[12]
Starting from a structure optimized by DFT (GGA-PBE), the powder diffraction line list of Ru3C2 was computed for CuKα.
Neutral-atom scattering factors, no anomalous dispersion.

Top 6 peaks for 2θ from 15° to 90°, by intensity:
- 33.59 deg, I = 100.0
- 42.91 deg, I = 55.9
- 36.99 deg, I = 41.2
- 49.27 deg, I = 40.0
- 51.00 deg, I = 35.7
- 57.92 deg, I = 24.4

Structure:
Unit cell a=6.302 b=5.228 c=7.722 alpha=54.19 beta=42.28 gamma=83.53
Positions (direct):
Ru1 0.000 0.000 0.000
Ru2 0.250 0.250 0.250
Ru3 0.341 0.691 0.322
Ru4 0.604 0.928 0.559
Ru5 0.691 0.341 0.646
Ru6 0.928 0.604 0.909
C1 0.021 0.516 0.145
C2 0.105 0.931 0.229
C3 0.516 0.021 0.319
C4 0.931 0.105 0.734